The following is a theoretical X-ray diffraction stick pattern of Ca3Ge5. It was derived from a crystal structure in Alexandria, relaxed with PBE, using Cu Kα.
Peak positions follow from Bragg's law for the DFT cell and can differ from measured ones.

Cell and atoms:
```
data_Ca3Ge5
_cell_length_a 5.9817
_cell_length_b 17.9794
_cell_length_c 14.2853
_cell_angle_alpha 90.00
_cell_angle_beta 90.00
_cell_angle_gamma 90.00
_space_group_name_H-M_alt 'F d d 2'
_space_group_IT_number 43
_space_group_name_Hall 'F 2 -2d'
loop_
_atom_site_label
_atom_site_type_symbol
_atom_site_fract_x
_atom_site_fract_y
_atom_site_fract_z
Ca1 Ca 0.0000 0.0000 0.0000
Ca2 Ca 0.0016 0.1698 0.4964
Ge1 Ge 0.0000 0.0000 0.5579
Ge2 Ge 0.0129 0.1676 0.9132
Ge3 Ge 0.0178 0.3289 0.5883
```

Main lines, by angle (10 to 80 degrees two-theta):
hkl  two_theta  I_rel
1 3 1  21.9  51
0 6 2  32.4  100
1 3 5  38.0  57
2 6 0  42.7  57
1 3 7  49.6  24
1 9 5  58.5  30
1 9 7  67.5  18
2 12 2  71.7  17

---

The following is a theoretical X-ray diffraction stick pattern of MgPd3. It was derived from a crystal structure in Alexandria, relaxed with PBE, using Cu Kα.
Peak positions follow from Bragg's law for the DFT cell and can differ from measured ones.

Cell and atoms:
```
data_MgPd3
_cell_length_a 3.9707
_cell_length_b 3.9707
_cell_length_c 15.8569
_cell_angle_alpha 90.00
_cell_angle_beta 90.00
_cell_angle_gamma 90.00
_space_group_name_H-M_alt 'I 4/m m m'
_space_group_IT_number 139
_space_group_name_Hall '-I 4 2'
loop_
_atom_site_label
_atom_site_type_symbol
_atom_site_fract_x
_atom_site_fract_y
_atom_site_fract_z
Mg1 Mg 0.0000 0.0000 0.1238
Pd1 Pd 0.0000 0.0000 0.3747
Pd2 Pd 0.0000 0.5000 0.0000
Pd3 Pd 0.0000 0.5000 0.2500
```

Main lines, by angle (10 to 80 degrees two-theta):
hkl  two_theta  I_rel
0 0 4  22.4  6
1 0 1  23.1  11
1 0 3  28.1  7
1 1 0  31.9  5
1 0 5  36.3  3
1 1 4  39.3  100
2 0 0  45.7  48
2 2 0  66.7  31

---

The following is a theoretical X-ray diffraction stick pattern of V2Ge2Au. It was derived from a crystal structure in Alexandria, relaxed with PBE, using Cu Kα.
Peak positions follow from Bragg's law for the DFT cell and can differ from measured ones.

Cell and atoms:
```
data_V2Ge2Au
_cell_length_a 6.7705
_cell_length_b 6.7705
_cell_length_c 3.3576
_cell_angle_alpha 90.00
_cell_angle_beta 90.00
_cell_angle_gamma 90.00
_space_group_name_H-M_alt 'P 4/m b m'
_space_group_IT_number 127
_space_group_name_Hall '-P 4 2ab'
loop_
_atom_site_label
_atom_site_type_symbol
_atom_site_fract_x
_atom_site_fract_y
_atom_site_fract_z
V1 V 0.1623 0.3377 0.0000
Ge1 Ge 0.1343 0.6343 0.5000
Au1 Au 0.0000 0.0000 0.5000
```

Main lines, by angle (10 to 80 degrees two-theta):
hkl  two_theta  I_rel
1 1 0  18.5  36
0 0 1  26.5  47
1 1 1  32.6  47
2 0 1  37.7  63
2 1 1  40.1  73
3 1 0  42.2  100
3 1 1  50.6  57
3 1 2  71.4  41

---

The following is a theoretical X-ray diffraction stick pattern of Sc4TlGa. It was derived from a crystal structure in Alexandria, relaxed with PBE, using Cu Kα.
Peak positions follow from Bragg's law for the DFT cell and can differ from measured ones.

Cell and atoms:
```
data_Sc4TlGa
_cell_length_a 3.4002
_cell_length_b 5.1915
_cell_length_c 8.1132
_cell_angle_alpha 90.00
_cell_angle_beta 90.00
_cell_angle_gamma 90.00
_space_group_name_H-M_alt 'P m m m'
_space_group_IT_number 47
loop_
_space_group_symop_operation_xyz
'x,y,z'
'-x,-y,-z'
'-x,-y,z'
'x,y,-z'
'x,-y,-z'
'-x,y,z'
'-x,y,-z'
'x,-y,z'
loop_
_atom_site_label
_atom_site_type_symbol
_atom_site_fract_x
_atom_site_fract_y
_atom_site_fract_z
Sc1 Sc 0.0000 0.0000 0.1866
Sc2 Sc 0.5000 0.5000 0.2845
Tl1 Tl 0.5000 0.0000 0.5000
Ga1 Ga 0.0000 0.5000 0.0000
```

Main lines, by angle (10 to 80 degrees two-theta):
hkl  two_theta  I_rel
0 0 1  10.9  33
0 1 1  20.3  69
1 0 1  28.5  70
0 2 0  34.6  40
0 1 3  37.5  53
1 1 2  38.7  100
1 2 1  45.4  39
1 3 2  64.7  21

---

The following is a theoretical X-ray diffraction stick pattern of LiLaY2S4. It was derived from a crystal structure in Alexandria, relaxed with PBE, using Cu Kα.
Peak positions follow from Bragg's law for the DFT cell and can differ from measured ones.

Cell and atoms:
```
data_LiLaY2S4
_cell_length_a 3.9154
_cell_length_b 13.1188
_cell_length_c 13.5339
_cell_angle_alpha 90.00
_cell_angle_beta 90.00
_cell_angle_gamma 90.00
_space_group_name_H-M_alt 'C m c m'
_space_group_IT_number 63
_space_group_name_Hall '-C 2c 2'
loop_
_atom_site_label
_atom_site_type_symbol
_atom_site_fract_x
_atom_site_fract_y
_atom_site_fract_z
Li1 Li 0.0000 0.1458 0.2500
La1 La 0.0000 0.1213 0.7500
Y1 Y 0.0000 0.3674 0.5568
S1 S 0.0000 0.0000 0.0000
S2 S 0.0000 0.2702 0.1230
S3 S 0.0000 0.4545 0.7500
```

Main lines, by angle (10 to 80 degrees two-theta):
hkl  two_theta  I_rel
0 2 3  23.9  100
1 1 1  24.6  27
0 4 0  27.2  59
1 3 1  31.4  64
1 3 2  33.5  85
1 1 5  41.1  52
1 5 2  43.6  27
0 6 3  46.1  30

---

The following is a theoretical X-ray diffraction stick pattern of La12Ga5Sn. It was derived from a crystal structure in Alexandria, relaxed with PBE, using Cu Kα.
Peak positions follow from Bragg's law for the DFT cell and can differ from measured ones.

Cell and atoms:
```
data_La12Ga5Sn
_cell_length_a 10.1087
_cell_length_b 10.2082
_cell_length_c 11.0727
_cell_angle_alpha 90.00
_cell_angle_beta 90.00
_cell_angle_gamma 90.00
_space_group_name_H-M_alt 'I m m m'
_space_group_IT_number 71
_space_group_name_Hall '-I 2 2'
loop_
_atom_site_label
_atom_site_type_symbol
_atom_site_fract_x
_atom_site_fract_y
_atom_site_fract_z
La1 La 0.0000 0.1960 0.2382
La2 La 0.2074 0.5000 0.1758
La3 La 0.2259 0.3215 0.5000
Ga1 Ga 0.0000 0.0000 0.0000
Ga2 Ga 0.0000 0.3582 0.0000
Ga3 Ga 0.0000 0.5000 0.3810
Sn1 Sn 0.0000 0.0000 0.5000
```

Main lines, by angle (10 to 80 degrees two-theta):
hkl  two_theta  I_rel
2 2 2  29.6  100
2 1 3  31.3  56
1 3 2  32.1  50
0 0 4  32.3  20
2 3 1  32.7  41
4 0 0  35.5  33
0 2 4  37.0  17
5 3 2  55.4  25

---

The following is a theoretical X-ray diffraction stick pattern of Sr6Si7. It was derived from a crystal structure in Alexandria, relaxed with PBE, using Cu Kα.
Peak positions follow from Bragg's law for the DFT cell and can differ from measured ones.

Cell and atoms:
```
data_Sr6Si7
_cell_length_a 6.4097
_cell_length_b 6.4097
_cell_length_c 31.4203
_cell_angle_alpha 90.00
_cell_angle_beta 90.00
_cell_angle_gamma 120.00
_space_group_name_H-M_alt 'R -3 m'
_space_group_IT_number 166
_space_group_name_Hall '-R 3 2"'
loop_
_atom_site_label
_atom_site_type_symbol
_atom_site_fract_x
_atom_site_fract_y
_atom_site_fract_z
Sr1 Sr 0.0000 0.0000 0.0648
Sr2 Sr 0.0000 0.0000 0.1807
Sr3 Sr 0.0000 0.0000 0.3219
Si1 Si 0.0000 0.0000 0.5000
Si2 Si 0.0848 0.5424 0.0865
```

Main lines, by angle (10 to 80 degrees two-theta):
hkl  two_theta  I_rel
1 1 0  27.8  100
1 1 6  32.8  13
0 2 7  38.1  12
2 0 8  39.8  19
3 0 0  49.2  27
2 2 0  57.5  12
2 1 16  65.1  18
4 1 0  79.0  16

---

The following is a theoretical X-ray diffraction stick pattern of Ca2Si2SbAu6. It was derived from a crystal structure in Alexandria, relaxed with PBE, using Cu Kα.
Peak positions follow from Bragg's law for the DFT cell and can differ from measured ones.

Cell and atoms:
```
data_Ca2Si2SbAu6
_cell_length_a 6.5446
_cell_length_b 6.5446
_cell_length_c 26.0676
_cell_angle_alpha 90.00
_cell_angle_beta 90.00
_cell_angle_gamma 120.00
_space_group_name_H-M_alt 'R -3 m'
_space_group_IT_number 166
_space_group_name_Hall '-R 3 2"'
loop_
_atom_site_label
_atom_site_type_symbol
_atom_site_fract_x
_atom_site_fract_y
_atom_site_fract_z
Ca1 Ca 0.0000 0.0000 0.1992
Si1 Si 0.0000 0.0000 0.4564
Sb1 Sb 0.0000 0.0000 0.0000
Au1 Au 0.0451 0.5225 0.7548
```

Main lines, by angle (10 to 80 degrees two-theta):
hkl  two_theta  I_rel
1 0 1  16.0  36
0 1 2  17.1  84
0 0 6  20.4  79
2 0 2  32.3  74
1 1 6  34.3  28
0 2 4  34.5  100
2 0 8  42.3  51
2 2 0  56.2  26

---

Question: What is the formula in the second record?
Answer: MgPd3